[1]
For HfPaSbTe, DFT lattice parameters and positions (PBE) gives the computed powder XRD pattern in this record (Cu Kα X-rays).
Intensities are scaled so that the largest is 100.

Top 8 peaks for 2θ = 5–70°, by angle:
2θ/deg, d [Å], I/Imax
21.2, 4.196, 1
24.5, 3.633, 7
34.9, 2.569, 100
41.2, 2.191, 1
43.1, 2.098, 2
50.2, 1.817, 18
56.6, 1.625, 3
62.6, 1.483, 37

Structural model:
```
data_HfPaSbTe
_symmetry_space_group_name_H-M 'F -4 3 m'
_symmetry_Int_Tables_number 216
_symmetry_space_group_name_Hall 'F -4 2 3'
_cell_length_a 7.267
_cell_length_b 7.267
_cell_length_c 7.267
_cell_angle_alpha 90.00
_cell_angle_beta 90.00
_cell_angle_gamma 90.00
loop_
_atom_site_label
_atom_site_fract_x
_atom_site_fract_y
_atom_site_fract_z
Hf1 0.000 0.000 0.000
Pa1 0.000 0.000 0.500
Sb1 0.250 0.250 0.250
Te1 0.250 0.250 0.750
```

=====

[2]
For Hf4Zr2ScPa, DFT lattice parameters and positions (PBE) gives the computed powder XRD pattern in this record (Cu Kα X-rays).
Intensities are scaled so that the largest is 100.

Top 10 peaks for 2θ = 5–70°, by angle:
2θ/deg, d [Å], I/Imax
13.7, 6.479, 12
16.6, 5.331, 8
23.6, 3.770, 7
33.6, 2.666, 64
36.6, 2.457, 100
48.3, 1.885, 23
48.6, 1.874, 5
56.8, 1.620, 7
62.1, 1.495, 43
67.7, 1.384, 15

Structural model:
```
data_Hf4Zr2ScPa
_symmetry_space_group_name_H-M 'P 4/m m m'
_symmetry_Int_Tables_number 123
_symmetry_space_group_name_Hall '-P 4 2'
_cell_length_a 5.331
_cell_length_b 5.331
_cell_length_c 6.479
_cell_angle_alpha 90.00
_cell_angle_beta 90.00
_cell_angle_gamma 90.00
loop_
_atom_site_label
_atom_site_fract_x
_atom_site_fract_y
_atom_site_fract_z
Hf1 0.000 0.500 0.235
Zr1 0.000 0.000 0.000
Zr2 0.500 0.500 0.500
Sc1 0.000 0.000 0.500
Pa1 0.500 0.500 0.000
```